No. 1
This entry pairs a crystal structure of Mg14MnBi with its simulated powder diffractogram. Radiation: Cu Kα X-rays. Structure: a crystal structure in the Materials Project, relaxed with GGA-PBE.
Lines closer than 0.1° are merged.

Atomic structure:
Cell: 10.362 6.346 6.346 Å, 60.02 90.00 90.00°
Element x y z (fractional)
Mg1 0.000 0.000 0.000
Mg2 0.000 0.000 0.500
Mg3 0.000 0.500 0.000
Mg4 0.000 0.500 0.500
Mg5 0.246 0.168 0.168
Mg6 0.250 0.172 0.661
Mg7 0.250 0.661 0.172
Mg8 0.253 0.665 0.665
Mg9 0.500 0.500 0.999
Mg10 0.500 0.999 0.500
Mg11 0.747 0.665 0.665
Mg12 0.750 0.172 0.661
Mg13 0.750 0.661 0.172
Mg14 0.754 0.168 0.168
Mn1 0.500 0.500 0.500
Bi1 0.500 0.001 0.001

Top 10 peaks for 10° ≤ 2θ ≤ 80°, by angle:
d [Å], 2θ (°), I/Imax
5.496, 16.1, 35
4.855, 18.3, 54
3.770, 23.6, 31
2.748, 32.6, 31
2.656, 33.7, 19
2.590, 34.6, 26
2.428, 37.0, 100
1.885, 48.3, 20
1.462, 63.6, 24
1.353, 69.5, 19

=====

No. 2
This entry pairs a crystal structure of UTe3 with its simulated powder diffractogram. Radiation: Cu Kα X-rays. Structure: a crystal structure in the Materials Project, relaxed with GGA-PBE.
Lines closer than 0.1° are merged.

Atomic structure:
Cell: 12.699 12.699 4.447 Å, 90.00 90.00 160.21°
Element x y z (fractional)
U1 0.166 0.834 0.750
U2 0.834 0.166 0.250
Te1 0.073 0.927 0.250
Te2 0.296 0.704 0.750
Te3 0.427 0.573 0.250
Te4 0.573 0.427 0.750
Te5 0.704 0.296 0.250
Te6 0.927 0.073 0.750

Top 10 peaks for 10° ≤ 2θ ≤ 80°, by angle:
d [Å], 2θ (°), I/Imax
6.255, 14.2, 26
3.128, 28.5, 47
3.091, 28.9, 47
2.918, 30.6, 100
2.645, 33.9, 100
2.558, 35.1, 29
2.347, 38.4, 60
2.224, 40.6, 40
2.182, 41.4, 49
1.558, 59.3, 36